# 1
Starting from a GGA-PBE-relaxed structure, the powder diffractogram of MgInGaO4 was computed for CuKα.

Main lines, by intensity (10 to 80 degrees two-theta):
- 30.69 deg, I 100
- 33.63 deg, I 85
- 10.39 deg, I 66
- 35.29 deg, I 65
- 54.18 deg, I 55
- 47.19 deg, I 46
- 31.52 deg, I 46
- 20.87 deg, I 43
- 64.05 deg, I 35
- 59.69 deg, I 34

Structural model:
```
data_MgInGaO4
_chemical_formula_sum 'Mg1 In1 Ga1 O4'
_space_group_name_H-M_alt 'P 1'
_space_group_IT_number 1
_cell_length_a 8.7353
_cell_length_b 8.7353
_cell_length_c 8.7353
_cell_angle_alpha 22.35
_cell_angle_beta 22.35
_cell_angle_gamma 22.35
loop_
_space_group_symop_operation_xyz
'x,y,z'
loop_
_atom_site_label
_atom_site_fract_x
_atom_site_fract_y
_atom_site_fract_z
Mg1 0.0000 0.0000 0.0000
In1 0.7866 0.7866 0.7866
Ga1 0.5727 0.5727 0.5727
O1 0.0792 0.0792 0.0792
O2 0.4965 0.4965 0.4965
O3 0.6502 0.6502 0.6502
O4 0.9097 0.9097 0.9097
```



# 2
Starting from a GGA-PBE-relaxed structure, the powder diffractogram of In2GaN3 was computed for CuKα.

Main lines, by intensity (10 to 80 degrees two-theta):
- 33.07 deg, I 100
- 32.13 deg, I 28
- 32.33 deg, I 24
- 57.88 deg, I 23
- 46.22 deg, I 20
- 58.14 deg, I 14
- 59.54 deg, I 11
- 69.40 deg, I 10
- 48.70 deg, I 9
- 59.67 deg, I 9

Structural model:
```
data_In2GaN3
_chemical_formula_sum 'In8 Ga4 N12'
_space_group_name_H-M_alt 'P 1'
_space_group_IT_number 1
_cell_length_a 6.2636
_cell_length_b 6.2636
_cell_length_c 11.0752
_cell_angle_alpha 90.00
_cell_angle_beta 90.00
_cell_angle_gamma 127.17
loop_
_space_group_symop_operation_xyz
'x,y,z'
loop_
_atom_site_label
_atom_site_fract_x
_atom_site_fract_y
_atom_site_fract_z
In1 0.0758 0.4146 0.1120
In2 0.0854 0.4242 0.6120
In3 0.4146 0.0758 0.6120
In4 0.4242 0.0854 0.1120
In5 0.5758 0.9146 0.8880
In6 0.5854 0.9242 0.3880
In7 0.9146 0.5758 0.3880
In8 0.9242 0.5854 0.8880
Ga1 0.2500 0.2500 0.3482
Ga2 0.2500 0.2500 0.8482
Ga3 0.7500 0.7500 0.1518
Ga4 0.7500 0.7500 0.6518
N1 0.0160 0.7367 0.0756
N2 0.0820 0.9180 0.7500
N3 0.2367 0.5160 0.4244
N4 0.2633 0.9840 0.4244
N5 0.4180 0.5820 0.7500
N6 0.4840 0.7633 0.0756
N7 0.5160 0.2367 0.9244
N8 0.5820 0.4180 0.2500
N9 0.7367 0.0160 0.5756
N10 0.7633 0.4840 0.5756
N11 0.9180 0.0820 0.2500
N12 0.9840 0.2633 0.9244
```



# 3
Starting from a GGA-PBE-relaxed structure, the powder diffractogram of InGa3N4 was computed for CuKα.

Main lines, by intensity (10 to 80 degrees two-theta):
- 35.47 deg, I 100
- 31.24 deg, I 41
- 33.10 deg, I 33
- 55.61 deg, I 28
- 60.67 deg, I 28
- 66.26 deg, I 25
- 46.16 deg, I 21
- 67.71 deg, I 15
- 75.08 deg, I 5
- 65.18 deg, I 4

Structural model:
```
data_InGa3N4
_chemical_formula_sum 'In1 Ga3 N4'
_space_group_name_H-M_alt 'P 1'
_space_group_IT_number 1
_cell_length_a 3.3056
_cell_length_b 3.3056
_cell_length_c 10.8252
_cell_angle_alpha 90.00
_cell_angle_beta 90.00
_cell_angle_gamma 120.00
loop_
_space_group_symop_operation_xyz
'x,y,z'
loop_
_atom_site_label
_atom_site_fract_x
_atom_site_fract_y
_atom_site_fract_z
In1 0.0000 0.0000 0.0000
Ga1 0.0000 0.0000 0.4997
Ga2 0.6667 0.3333 0.2610
Ga3 0.6667 0.3333 0.7395
N1 0.0000 0.0000 0.3179
N2 0.0000 0.0000 0.7966
N3 0.6667 0.3333 0.0814
N4 0.6667 0.3333 0.5574
```



# 4
Starting from a GGA-PBE-relaxed structure, the powder diffractogram of In3Ga3N5 was computed for CuKα.

Main lines, by intensity (10 to 80 degrees two-theta):
- 33.04 deg, I 100
- 33.50 deg, I 98
- 33.69 deg, I 82
- 34.04 deg, I 78
- 27.56 deg, I 61
- 30.09 deg, I 51
- 34.38 deg, I 45
- 32.22 deg, I 36
- 37.49 deg, I 35
- 53.49 deg, I 26

Structural model:
```
data_In3Ga3N5
_chemical_formula_sum 'In6 Ga6 N10'
_space_group_name_H-M_alt 'P 1'
_space_group_IT_number 1
_cell_length_a 6.0025
_cell_length_b 6.6148
_cell_length_c 8.7731
_cell_angle_alpha 106.29
_cell_angle_beta 96.68
_cell_angle_gamma 92.52
loop_
_space_group_symop_operation_xyz
'x,y,z'
loop_
_atom_site_label
_atom_site_fract_x
_atom_site_fract_y
_atom_site_fract_z
In1 0.1606 0.1311 0.2534
In2 0.1743 0.3430 0.9243
In3 0.3003 0.9263 0.6072
In4 0.6997 0.0737 0.3928
In5 0.8257 0.6570 0.0757
In6 0.8394 0.8689 0.7466
Ga1 0.1828 0.4347 0.5878
Ga2 0.3617 0.8068 0.9692
Ga3 0.3734 0.6198 0.2883
Ga4 0.6266 0.3802 0.7117
Ga5 0.6383 0.1932 0.0308
Ga6 0.8172 0.5653 0.4122
N1 0.1526 0.6077 0.4355
N2 0.1936 0.6814 0.1071
N3 0.3514 0.0550 0.8833
N4 0.3677 0.5381 0.7977
N5 0.3834 0.1995 0.5223
N6 0.6166 0.8005 0.4777
N7 0.6323 0.4619 0.2023
N8 0.6486 0.9450 0.1167
N9 0.8064 0.3186 0.8929
N10 0.8474 0.3923 0.5645
```



# 5
Starting from a GGA-PBE-relaxed structure, the powder diffractogram of InGaN2 was computed for CuKα.

Main lines, by intensity (10 to 80 degrees two-theta):
- 34.48 deg, I 100
- 30.36 deg, I 41
- 32.25 deg, I 32
- 58.95 deg, I 29
- 53.95 deg, I 27
- 64.26 deg, I 25
- 44.88 deg, I 23
- 65.62 deg, I 15
- 15.96 deg, I 8
- 72.72 deg, I 5

Structural model:
```
data_InGaN2
_chemical_formula_sum 'In1 Ga1 N2'
_space_group_name_H-M_alt 'P 1'
_space_group_IT_number 1
_cell_length_a 3.3993
_cell_length_b 3.3993
_cell_length_c 5.5516
_cell_angle_alpha 90.00
_cell_angle_beta 90.00
_cell_angle_gamma 120.00
loop_
_space_group_symop_operation_xyz
'x,y,z'
loop_
_atom_site_label
_atom_site_fract_x
_atom_site_fract_y
_atom_site_fract_z
In1 0.0000 0.0000 0.0000
Ga1 0.6667 0.3333 0.4970
N1 0.0000 0.0000 0.6038
N2 0.6667 0.3333 0.1472
```



# 6
Starting from a GGA-PBE-relaxed structure, the powder diffractogram of In3Ga2N4 was computed for CuKα.

Main lines, by intensity (10 to 80 degrees two-theta):
- 35.75 deg, I 100
- 34.59 deg, I 91
- 27.10 deg, I 90
- 28.16 deg, I 62
- 29.39 deg, I 48
- 39.48 deg, I 33
- 30.29 deg, I 30
- 51.20 deg, I 29
- 54.84 deg, I 24
- 48.90 deg, I 21

Structural model:
```
data_In3Ga2N4
_chemical_formula_sum 'In12 Ga8 N16'
_space_group_name_H-M_alt 'P 1'
_space_group_IT_number 1
_cell_length_a 6.3380
_cell_length_b 10.6999
_cell_length_c 8.5239
_cell_angle_alpha 90.00
_cell_angle_beta 90.00
_cell_angle_gamma 90.00
loop_
_space_group_symop_operation_xyz
'x,y,z'
loop_
_atom_site_label
_atom_site_fract_x
_atom_site_fract_y
_atom_site_fract_z
In1 0.1707 0.1665 0.1204
In2 0.1707 0.3335 0.3796
In3 0.2500 0.0000 0.4310
In4 0.2500 0.5000 0.0690
In5 0.3293 0.6665 0.3796
In6 0.3293 0.8335 0.1204
In7 0.6707 0.1665 0.8796
In8 0.6707 0.3335 0.6204
In9 0.7500 0.0000 0.5690
In10 0.7500 0.5000 0.9310
In11 0.8293 0.6665 0.6204
In12 0.8293 0.8335 0.8796
Ga1 0.1618 0.2500 0.7500
Ga2 0.2500 0.0000 0.7792
Ga3 0.2500 0.5000 0.7208
Ga4 0.3382 0.7500 0.7500
Ga5 0.6618 0.2500 0.2500
Ga6 0.7500 0.0000 0.2208
Ga7 0.7500 0.5000 0.2792
Ga8 0.8382 0.7500 0.2500
N1 0.0646 0.0956 0.6313
N2 0.0646 0.4044 0.8687
N3 0.1722 0.6467 0.5999
N4 0.1722 0.8533 0.9001
N5 0.3278 0.1467 0.9001
N6 0.3278 0.3533 0.5999
N7 0.4354 0.5956 0.8687
N8 0.4354 0.9044 0.6313
N9 0.5646 0.0956 0.3687
N10 0.5646 0.4044 0.1313
N11 0.6722 0.6467 0.4001
N12 0.6722 0.8533 0.0999
N13 0.8278 0.1467 0.0999
N14 0.8278 0.3533 0.4001
N15 0.9354 0.5956 0.1313
N16 0.9354 0.9044 0.3687
```